This entry pairs a crystal structure of Tl8Hg3S8 with its theoretical X-ray diffraction stick pattern. Radiation: a wavelength of 1.5418 Å. Structure: the PBE geometry in Alexandria.
Lines closer than 0.1° are merged.

Peak list (10 most intense, 2θ = 10–90°, sorted by position)
Position (°2θ), Rel. int., h k l
25.25, 67, 1 1 2
25.76, 62, 5 1 -1
29.40, 100, 0 2 0
29.82, 22, 6 0 1
34.71, 13, 8 0 0
35.65, 14, 5 1 2
42.05, 34, 4 2 -3
42.39, 17, 6 2 1
49.72, 13, 1 3 2
49.98, 20, 5 3 -1

Cell: 21.4202 6.0711 9.6911 Å, 90.00 104.93 90.00°
Space group C2/m (No. 12)
Inequivalent atoms, fractional coordinates:
1 Tl 0.0505 0.0000 0.2156 (multiplicity 4)
2 Tl 0.0881 0.5000 0.9393 (multiplicity 4)
3 Tl 0.1795 0.5000 0.4415 (multiplicity 4)
4 Tl 0.1988 0.0000 0.7574 (multiplicity 4)
5 Hg 0.0000 0.5000 0.5000 (multiplicity 2)
6 Hg 0.2234 0.0000 0.1648 (multiplicity 4)
7 S 0.0388 0.5000 0.2943 (multiplicity 4)
8 S 0.1247 0.0000 0.9807 (multiplicity 4)
9 S 0.1614 0.5000 0.7177 (multiplicity 4)
10 S 0.1790 0.0000 0.4168 (multiplicity 4)

***

This entry pairs a crystal structure of SrPrNd2 with its theoretical X-ray diffraction stick pattern. Radiation: a wavelength of 1.5418 Å. Structure: the PBE geometry in Alexandria.
Lines closer than 0.1° are merged.

Peak list (10 most intense, 2θ = 10–90°, sorted by position)
Position (°2θ), Rel. int., h k l
27.59, 32, 0 1 2
28.52, 43, 0 0 12
29.70, 100, 0 1 5
31.96, 64, 1 0 7
36.35, 28, 1 0 10
48.01, 33, 1 1 0
49.74, 25, 0 1 17
56.79, 37, 1 1 12
57.48, 15, 2 0 5
78.07, 13, 1 2 5

Cell: 3.7902 3.7902 37.5626 Å, 90.00 90.00 120.00°
Space group R3m (No. 160, hexagonal axes)
Inequivalent atoms, fractional coordinates:
1 Sr 0.0000 0.0000 0.0000 (multiplicity 3)
2 Pr 0.0000 0.0000 0.8341 (multiplicity 3)
3 Nd 0.0000 0.0000 0.2453 (multiplicity 3)
4 Nd 0.0000 0.0000 0.4223 (multiplicity 3)

***

Which formula does entry 2 have? SrPrNd2